Structure and computed powder X-ray diffraction pattern of Mg9Cu2Se (a PBE-relaxed structure; Cu Kα (weighted mean of Kα1 and Kα2)).

Largest 10 diffraction maxima, in order of rising 2θ, 2θ = 10–80°:
- 2θ 17.4, I = 100
- 2θ 25.4, I = 21
- 2θ 28.1, I = 32
- 2θ 30.2, I = 32
- 2θ 34.9, I = 35
- 2θ 35.1, I = 34
- 2θ 36.2, I = 47
- 2θ 36.8, I = 39
- 2θ 38.2, I = 53
- 2θ 43.7, I = 36

Crystal structure
```
data_Mg9Cu2Se
_space_group_name_H-M_alt 'P 1'
_space_group_IT_number 1
_space_group_name_Hall 'P 1'
_cell_length_a 6.3831
_cell_length_b 6.3831
_cell_length_c 8.7042
_cell_angle_alpha 113.56
_cell_angle_beta 113.56
_cell_angle_gamma 55.26
loop_
_atom_site_label
_atom_site_type_symbol
_atom_site_fract_x
_atom_site_fract_y
_atom_site_fract_z
_atom_site_occupancy
Mg1 Mg 0.0000 0.0000 0.0000 1
Mg2 Mg 0.0679 0.5739 0.2034 1
Mg3 Mg 0.1050 0.1050 0.4167 1
Mg4 Mg 0.3836 0.3836 0.7030 1
Mg5 Mg 0.4261 0.9321 0.7966 1
Mg6 Mg 0.5739 0.0679 0.2034 1
Mg7 Mg 0.6164 0.6164 0.2970 1
Mg8 Mg 0.8950 0.8950 0.5833 1
Mg9 Mg 0.9321 0.4261 0.7966 1
Cu1 Cu 0.3933 0.3933 0.0043 1
Cu2 Cu 0.6067 0.6067 0.9957 1
Se1 Se 0.5000 0.5000 0.5000 1
```